1.
Diffraction record for Sr2FeRuO6. The X-ray diffraction stick pattern is calculated, not measured: it uses the GGA+U geometry in the Materials Project and Cu Kα (weighted mean of Kα1 and Kα2).
No peak broadening, texture or thermal motion is included.

Lattice parameters (Å, degrees): 7.943 7.943 7.943 90.00 90.00 90.00
Space group Fm-3m (No. 225)
Asymmetric unit:
Sr (0.250, 0.250, 0.250)
Fe (0.000, 0.000, 0.000)
Ru (0.000, 0.000, 0.500)
O (0.000, 0.000, 0.252)

Most intense lines, 2θ from 10° to 90°, in order of rising 2θ:
2θ 19.4, intensity 5, hkl 1 1 1
2θ 31.9, intensity 100, hkl 2 2 0
2θ 37.6, intensity 3, hkl 3 1 1
2θ 39.3, intensity 5, hkl 2 2 2
2θ 45.7, intensity 36, hkl 4 0 0
2θ 56.8, intensity 39, hkl 4 2 2
2θ 66.6, intensity 21, hkl 4 4 0
2θ 75.7, intensity 17, hkl 6 2 0
2θ 80.2, intensity 1, hkl 6 2 2
2θ 84.5, intensity 7, hkl 4 4 4



2.
Diffraction record for Li2Ni3WO8. The X-ray diffraction stick pattern is calculated, not measured: it uses the GGA+U geometry in the Materials Project and Cu Kα (weighted mean of Kα1 and Kα2).
No peak broadening, texture or thermal motion is included.

Lattice parameters (Å, degrees): 5.8773 5.8773 9.5969 90.00 90.00 120.00
Space group P6_3mc (No. 186)
Asymmetric unit:
Li (0.0000, 0.0000, 0.0000)
Li (0.3333, 0.6667, 0.4130)
Ni (0.1698, 0.3396, 0.7245)
W (0.3333, 0.6667, 0.9972)
O (0.0000, 0.0000, 0.3090)
O (0.0346, 0.5173, 0.8601)
O (0.1702, 0.3404, 0.0982)
O (0.3333, 0.6667, 0.6262)

Most intense lines, 2θ from 10° to 90°, in order of rising 2θ:
2θ 19.7, intensity 100, hkl 1 0 1
2θ 25.5, intensity 30, hkl 1 0 2
2θ 33.1, intensity 37, hkl 1 0 3
2θ 35.8, intensity 46, hkl 1 1 2
2θ 36.5, intensity 28, hkl 2 0 1
2θ 45.5, intensity 21, hkl 2 0 3
2θ 48.2, intensity 15, hkl 2 1 1
2θ 55.8, intensity 19, hkl 2 1 3
2θ 60.4, intensity 21, hkl 2 0 5
2θ 63.3, intensity 18, hkl 2 2 0



3.
Diffraction record for CrO2. The X-ray diffraction stick pattern is calculated, not measured: it uses the GGA+U geometry in the Materials Project and Cu Kα (weighted mean of Kα1 and Kα2).
No peak broadening, texture or thermal motion is included.

Lattice parameters (Å, degrees): 2.929 9.468 9.791 90.00 90.00 90.00
Space group C222_1 (No. 20)
Asymmetric unit:
Cr (0.010, 0.134, 0.426)
O (0.000, 0.075, 0.250)
O (0.007, 0.238, 0.601)
O (0.020, 0.500, 0.000)

Most intense lines, 2θ from 10° to 90°, in order of rising 2θ:
2θ 18.1, intensity 100, hkl 0 0 2
2θ 20.8, intensity 90, hkl 0 2 1
2θ 32.0, intensity 44, hkl 1 1 0
2θ 33.3, intensity 65, hkl 0 2 3
2θ 42.1, intensity 43, hkl 1 3 0
2θ 43.1, intensity 27, hkl 1 3 1
2θ 46.2, intensity 29, hkl 1 3 2
2θ 50.4, intensity 17, hkl 0 2 5
2θ 50.9, intensity 22, hkl 1 3 3
2θ 65.3, intensity 28, hkl 1 5 3



4.
Diffraction record for LiFeW2O8. The X-ray diffraction stick pattern is calculated, not measured: it uses the GGA+U geometry in the Materials Project and Cu Kα (weighted mean of Kα1 and Kα2).
No peak broadening, texture or thermal motion is included.

Lattice parameters (Å, degrees): 9.432 11.554 5.018 90.00 91.15 90.00
Space group C2/c (No. 15)
Asymmetric unit:
Li (0.000, 0.158, 0.250)
Fe (0.000, 0.329, 0.750)
W (0.249, 0.088, 0.744)
O (0.119, 0.319, 0.087)
O (0.122, 0.194, 0.609)
O (0.137, 0.440, 0.577)
O (0.145, 0.049, 0.056)

Most intense lines, 2θ from 10° to 90°, in order of rising 2θ:
2θ 15.3, intensity 29, hkl 0 2 0
2θ 18.8, intensity 100, hkl 2 0 0
2θ 23.5, intensity 98, hkl 0 2 1
2θ 24.4, intensity 52, hkl 2 2 0
2θ 30.0, intensity 97, hkl 2 2 -1
2θ 30.5, intensity 92, hkl 2 2 1
2θ 35.8, intensity 63, hkl 0 0 2
2θ 41.0, intensity 33, hkl 2 4 1
2θ 51.2, intensity 28, hkl 2 6 0
2θ 64.4, intensity 30, hkl 0 4 3